[1]
For Nb3VH6, a DFT-relaxed cell (PBE, Alexandria) gives the theoretical powder XRD pattern in this record (Cu Kα (λ = 1.5418 Å)).

Peak list (6 most intense, 2θ from 10° to 90°, by angle)
d/Å	intensity
2.773	20
2.480	100
2.264	44
1.538	23
1.482	22
1.210	14

a = 5.5458 Å, b = 5.5458 Å, c = 5.5458 Å
α = 90.06°, β = 90.06°, γ = 90.06°
Atoms (fractional coordinates):
Nb 0.0010 0.5058 0.7496
Nb 0.2504 0.9990 0.4942
Nb 0.4942 0.2504 0.9990
Nb 0.5058 0.7496 0.0010
Nb 0.7496 0.0010 0.5058
Nb 0.9990 0.4942 0.2504
V 0.0000 0.0000 0.0000
V 0.5000 0.5000 0.5000
H 0.0118 0.8638 0.7083
H 0.1362 0.2917 0.9882
H 0.2064 0.6374 0.4884
H 0.2917 0.9882 0.1362
H 0.3626 0.5116 0.7936
H 0.4884 0.2064 0.6374
H 0.5116 0.7936 0.3626
H 0.6374 0.4884 0.2064
H 0.7083 0.0118 0.8638
H 0.7936 0.3626 0.5116
H 0.8638 0.7083 0.0118
H 0.9882 0.1362 0.2917

***

[2]
For YNb2H2, a DFT-relaxed cell (PBE, Alexandria) gives the theoretical powder XRD pattern in this record (Cu Kα (λ = 1.5418 Å)).

Peak list (6 most intense, 2θ from 10° to 90°, by angle)
d/Å	intensity
2.585	54
2.575	100
1.828	19
1.491	35
1.485	14
1.156	16

a = 6.0234 Å, b = 6.0234 Å, c = 6.0234 Å
α = 144.66°, β = 144.66°, γ = 50.84°
Atoms (fractional coordinates):
Y 0.0000 0.0000 0.0000
Nb 0.3153 0.3153 0.0000
Nb 0.6847 0.6847 0.0000
H 0.2500 0.7500 0.5000
H 0.7500 0.2500 0.5000

***

[3]
For Nb2ZnH, a DFT-relaxed cell (PBE, Alexandria) gives the theoretical powder XRD pattern in this record (Cu Kα (λ = 1.5418 Å)).

Peak list (6 most intense, 2θ from 10° to 90°, by angle)
d/Å	intensity
2.521	46
2.460	54
2.307	95
2.202	100
1.465	33
1.259	36

a = 7.5702 Å, b = 7.5702 Å, c = 7.5702 Å
α = 22.32°, β = 22.32°, γ = 22.32°
Atoms (fractional coordinates):
Nb 0.0000 0.0000 0.0000
Nb 0.2115 0.2115 0.2115
Zn 0.7726 0.7726 0.7726
H 0.6043 0.6043 0.6043

***

[4]
For Nb8ZnH6, a DFT-relaxed cell (PBE, Alexandria) gives the theoretical powder XRD pattern in this record (Cu Kα (λ = 1.5418 Å)).

Peak list (6 most intense, 2θ from 10° to 90°, by angle)
d/Å	intensity
2.421	100
1.712	17
1.400	8
1.397	25
1.211	5
1.209	5

a = 5.6759 Å, b = 5.6759 Å, c = 5.6759 Å
α = 95.13°, β = 95.13°, γ = 95.13°
Atoms (fractional coordinates):
Nb 0.0599 0.4014 0.7197
Nb 0.1770 0.1770 0.1770
Nb 0.2803 0.9401 0.5986
Nb 0.4014 0.7197 0.0599
Nb 0.5986 0.2803 0.9401
Nb 0.7197 0.0599 0.4014
Nb 0.8230 0.8230 0.8230
Nb 0.9401 0.5986 0.2803
Zn 0.5000 0.5000 0.5000
H 0.0234 0.9336 0.3397
H 0.0664 0.6603 0.9766
H 0.3397 0.0234 0.9336
H 0.6603 0.9766 0.0664
H 0.9336 0.3397 0.0234
H 0.9766 0.0664 0.6603

***

Which formula does entry 4 have? Nb8ZnH6